(1)
Structure and theoretical powder X-ray diffraction pattern of TiO2 (a DFT-relaxed cell (GGA-PBE, the Materials Project); Cu Kα X-rays).

The 8 most intense peaks (2θ = 15–90°), low angle first:
2θ 25.10, rel. 90, (0 2 1); 2θ 25.47, rel. 75, (1 1 1); 2θ 30.54, rel. 100, (1 2 1); 2θ 36.00, rel. 24, (2 1 0); 2θ 45.69, rel. 20, (2 3 0); 2θ 47.56, rel. 33, (1 3 2); 2θ 53.66, rel. 26, (0 2 3); 2θ 54.68, rel. 34, (1 4 2)

Structural model:
a = 5.1811 Å, b = 9.2739 Å, c = 5.5118 Å
α = 90.00°, β = 90.00°, γ = 90.00°
Space group Pbca (No. 61)
Symmetry-distinct sites (fractional):
Ti  0.1381  0.1290  0.0927
O  0.0357  0.7297  0.1081
O  0.1834  0.5103  0.3517


(2)
Structure and theoretical powder X-ray diffraction pattern of Ti9O10 (a DFT-relaxed cell (GGA-PBE, the Materials Project); Cu Kα X-rays).

The 8 most intense peaks (2θ = 15–90°), low angle first:
2θ 19.88, rel. 34, (0 2 0); 2θ 23.99, rel. 21, (1 1 1); 2θ 31.42, rel. 25, (1 1 -3); 2θ 37.38, rel. 44, (2 0 -2); 2θ 42.76, rel. 100, (1 3 -3); 2θ 44.45, rel. 43, (2 0 2); 2θ 63.17, rel. 25, (1 3 5); 2θ 63.58, rel. 24, (3 3 -1)

Structural model:
a = 5.0441 Å, b = 8.9327 Å, c = 9.9224 Å
α = 90.00°, β = 101.82°, γ = 90.00°
Space group C2/m (No. 12)
Symmetry-distinct sites (fractional):
Ti  0.0000  0.0000  0.0000
Ti  0.0000  0.1632  0.5000
Ti  0.0000  0.3518  0.0000
Ti  0.2280  0.3313  0.7428
O  0.1075  0.5000  0.8621
O  0.1146  0.1721  0.8803
O  0.1319  0.3290  0.3768